No. 1
Structure and computed XRD peak list of Li2FeNi3O8 (DFT lattice parameters and positions (PBE+U); Cu Kα, 1.54184 Å).
No peak broadening, texture or thermal motion is included.

```
data_Li2FeNi3O8
_chemical_formula_sum 'Li8 Fe4 Ni12 O32'
_space_group_name_H-M_alt 'C 1 c 1'
_space_group_IT_number 9
_cell_length_a 5.641
_cell_length_b 9.963
_cell_length_c 9.292
_cell_angle_alpha 90.00
_cell_angle_beta 90.42
_cell_angle_gamma 90.00
loop_
_space_group_symop_operation_xyz
'x,y,z'
'x,-y,z+1/2'
'x+1/2,y+1/2,z'
'x+1/2,-y+1/2,z+1/2'
loop_
_atom_site_label
_atom_site_type_symbol
_atom_site_fract_x
_atom_site_fract_y
_atom_site_fract_z
Li1 Li 0.000 0.002 0.000
Li2 Li 0.002 0.334 0.106
Fe1 Fe 0.003 0.336 0.505
Ni1 Ni 0.002 0.169 0.782
Ni2 Ni 0.246 0.415 0.784
Ni3 Ni 0.254 0.085 0.285
O1 O 0.002 0.160 0.397
O2 O 0.002 0.343 0.893
O3 O 0.230 0.264 0.663
O4 O 0.241 0.078 0.893
O5 O 0.255 0.424 0.394
O6 O 0.277 0.239 0.167
O7 O 0.497 0.018 0.168
O8 O 0.499 0.489 0.687
```

Most intense lines, 2θ = 10–80°, most intense first:
2theta	Rel. int.	index
19.1	100	0 0 2
20.2	44	0 2 1
37.4	40	0 4 1
20.5	38	1 1 1
20.4	37	1 1 -1
65.2	33	2 6 0
34.1	32	1 1 -3
37.9	27	2 2 -1
46.8	26	0 4 3
26.3	25	1 1 -2



No. 2
Structure and computed XRD peak list of Li5Fe8B8O24 (DFT lattice parameters and positions (PBE+U); Cu Kα, 1.54184 Å).
No peak broadening, texture or thermal motion is included.

```
data_Li5Fe8B8O24
_chemical_formula_sum 'Li5 Fe8 B8 O24'
_space_group_name_H-M_alt 'P 1'
_space_group_IT_number 1
_cell_length_a 5.268
_cell_length_b 9.081
_cell_length_c 10.214
_cell_angle_alpha 90.00
_cell_angle_beta 88.65
_cell_angle_gamma 89.98
loop_
_space_group_symop_operation_xyz
'x,y,z'
loop_
_atom_site_label
_atom_site_type_symbol
_atom_site_fract_x
_atom_site_fract_y
_atom_site_fract_z
Li1 Li 0.000 0.000 0.000
Li2 Li 0.007 0.021 0.498
Li3 Li 0.321 0.011 0.239
Li4 Li 0.502 0.491 0.991
Li5 Li 0.819 0.508 0.716
Fe1 Fe 0.002 0.662 0.967
Fe2 Fe 0.322 0.333 0.710
Fe3 Fe 0.324 0.669 0.215
Fe4 Fe 0.498 0.163 0.963
Fe5 Fe 0.510 0.838 0.465
Fe6 Fe 0.810 0.185 0.217
Fe7 Fe 0.820 0.842 0.716
Fe8 Fe 0.997 0.352 0.464
B1 B 0.004 0.680 0.474
B2 B 0.313 0.338 0.210
B3 B 0.328 0.668 0.718
B4 B 0.495 0.164 0.468
B5 B 0.498 0.836 0.967
B6 B 0.821 0.175 0.713
B7 B 0.836 0.838 0.208
B8 B 0.993 0.336 0.954
O1 O 0.070 0.684 0.753
O2 O 0.076 0.329 0.267
O3 O 0.237 0.691 0.406
O4 O 0.252 0.337 0.918
O5 O 0.358 0.038 0.441
O6 O 0.358 0.961 0.978
O7 O 0.366 0.287 0.520
O8 O 0.395 0.700 0.005
O9 O 0.427 0.471 0.183
O10 O 0.441 0.532 0.722
O11 O 0.443 0.208 0.176
O12 O 0.469 0.790 0.680
O13 O 0.572 0.188 0.759
O14 O 0.579 0.827 0.246
O15 O 0.752 0.170 0.438
O16 O 0.753 0.841 0.919
O17 O 0.853 0.463 0.943
O18 O 0.883 0.205 0.998
O19 O 0.886 0.554 0.505
O20 O 0.891 0.816 0.516
O21 O 0.931 0.041 0.695
O22 O 0.953 0.974 0.201
O23 O 0.956 0.305 0.687
O24 O 0.970 0.712 0.171
```

Most intense lines, 2θ = 10–80°, most intense first:
2theta	Rel. int.	index
19.5	100	0 2 0
35.2	90	0 0 4
21.5	86	1 1 -1
34.2	64	1 -3 0
25.9	60	1 -1 2
21.5	40	-1 1 1
40.4	39	2 2 1
26.5	39	1 1 -2
61.0	31	3 3 0
40.7	29	0 4 -1



No. 3
Structure and computed XRD peak list of CaMnF6 (DFT lattice parameters and positions (PBE+U); Cu Kα, 1.54184 Å).
No peak broadening, texture or thermal motion is included.

```
data_CaMnF6
_chemical_formula_sum 'Ca3 Mn3 F18'
_space_group_name_H-M_alt 'R -3'
_space_group_IT_number 148
_space_group_name_Hall '-R 3'
_cell_length_a 5.5531
_cell_length_b 5.5531
_cell_length_c 14.2390
_cell_angle_alpha 90.00
_cell_angle_beta 90.00
_cell_angle_gamma 120.00
loop_
_atom_site_label
_atom_site_type_symbol
_atom_site_fract_x
_atom_site_fract_y
_atom_site_fract_z
Ca1 Ca 0.0000 0.0000 0.0000
Mn1 Mn 0.0000 0.0000 0.5000
F1 F 0.0394 0.6118 0.2414
```

Most intense lines, 2θ = 10–80°, most intense first:
2theta	Rel. int.	index
22.3	100	0 1 2
50.6	26	1 1 6
45.5	20	0 2 4
37.5	17	1 1 3
31.3	14	1 0 4
51.9	12	1 2 2
19.5	9	1 0 1
56.9	7	2 1 4
57.5	7	3 0 0
72.0	7	3 1 2



No. 4
Structure and computed XRD peak list of Fe4O3F5 (DFT lattice parameters and positions (PBE+U); Cu Kα, 1.54184 Å).
No peak broadening, texture or thermal motion is included.

```
data_Fe4O3F5
_chemical_formula_sum 'Fe8 O6 F10'
_space_group_name_H-M_alt 'P 1'
_space_group_IT_number 1
_cell_length_a 4.822
_cell_length_b 6.152
_cell_length_c 9.663
_cell_angle_alpha 90.11
_cell_angle_beta 90.71
_cell_angle_gamma 90.15
loop_
_space_group_symop_operation_xyz
'x,y,z'
loop_
_atom_site_label
_atom_site_type_symbol
_atom_site_fract_x
_atom_site_fract_y
_atom_site_fract_z
Fe1 Fe 0.000 0.000 0.000
Fe2 Fe 0.000 0.001 0.503
Fe3 Fe 0.452 0.752 0.260
Fe4 Fe 0.488 0.248 0.241
Fe5 Fe 0.520 0.751 0.764
Fe6 Fe 0.551 0.250 0.746
Fe7 Fe 0.951 0.500 0.480
Fe8 Fe 0.977 0.500 0.987
O1 O 0.163 0.753 0.407
O2 O 0.306 0.003 0.162
O3 O 0.659 0.497 0.341
O4 O 0.691 0.502 0.836
O5 O 0.699 0.000 0.839
O6 O 0.814 0.247 0.584
F1 F 0.186 0.250 0.396
F2 F 0.200 0.749 0.893
F3 F 0.214 0.251 0.891
F4 F 0.284 0.498 0.147
F5 F 0.302 0.504 0.646
F6 F 0.305 0.998 0.647
F7 F 0.685 0.001 0.353
F8 F 0.778 0.747 0.107
F9 F 0.785 0.753 0.594
F10 F 0.794 0.254 0.104
```

Most intense lines, 2θ = 10–80°, most intense first:
2theta	Rel. int.	index
34.6	100	0 2 -2
26.3	97	1 0 2
25.9	95	1 0 -2
51.6	56	1 2 -4
51.8	28	1 -2 4
52.0	27	1 2 4
65.4	19	0 2 -6
39.3	19	-1 2 2
53.4	18	2 0 -4
60.2	18	0 4 0



No. 5
Structure and computed XRD peak list of TiVO3 (DFT lattice parameters and positions (PBE+U); Cu Kα, 1.54184 Å).
No peak broadening, texture or thermal motion is included.

```
data_TiVO3
_chemical_formula_sum 'Ti6 V6 O18'
_space_group_name_H-M_alt 'R -3'
_space_group_IT_number 148
_space_group_name_Hall '-R 3'
_cell_length_a 5.1462
_cell_length_b 5.1462
_cell_length_c 14.3260
_cell_angle_alpha 90.00
_cell_angle_beta 90.00
_cell_angle_gamma 120.00
loop_
_atom_site_label
_atom_site_type_symbol
_atom_site_fract_x
_atom_site_fract_y
_atom_site_fract_z
Ti1 Ti 0.0000 0.0000 0.1451
V1 V 0.0000 0.0000 0.3473
O1 O 0.0151 0.3704 0.4213
```

Most intense lines, 2θ = 10–80°, most intense first:
2theta	Rel. int.	index
32.1	100	1 0 4
34.9	75	1 1 0
52.3	74	1 1 6
23.5	47	0 1 2
48.1	39	0 2 4
62.5	39	3 0 0
60.8	32	2 1 4
39.8	31	2 -1 3
68.8	15	1 0 10
73.6	8	2 2 0



No. 6
Structure and computed XRD peak list of Li11V6O5F19 (DFT lattice parameters and positions (PBE+U); Cu Kα, 1.54184 Å).
No peak broadening, texture or thermal motion is included.

```
data_Li11V6O5F19
_chemical_formula_sum 'Li11 V6 O5 F19'
_space_group_name_H-M_alt 'P 1'
_space_group_IT_number 1
_cell_length_a 5.109
_cell_length_b 5.480
_cell_length_c 16.243
_cell_angle_alpha 80.55
_cell_angle_beta 89.97
_cell_angle_gamma 89.54
loop_
_space_group_symop_operation_xyz
'x,y,z'
loop_
_atom_site_label
_atom_site_type_symbol
_atom_site_fract_x
_atom_site_fract_y
_atom_site_fract_z
Li1 Li 0.000 0.000 0.000
Li2 Li 0.000 0.346 0.584
Li3 Li 0.024 0.980 0.246
Li4 Li 0.037 0.893 0.700
Li5 Li 0.502 0.349 0.706
Li6 Li 0.503 0.451 0.251
Li7 Li 0.520 0.184 0.910
Li8 Li 0.544 0.841 0.586
Li9 Li 0.549 0.872 0.350
Li10 Li 0.981 0.370 0.351
Li11 Li 0.991 0.596 0.921
V1 V 0.013 0.263 0.809
V2 V 0.511 0.765 0.813
V3 V 0.530 0.105 0.140
V4 V 0.539 0.434 0.483
V5 V 0.995 0.571 0.144
V6 V 0.996 0.933 0.482
O1 O 0.312 0.075 0.778
O2 O 0.722 0.460 0.844
O3 O 0.726 0.138 0.516
O4 O 0.811 0.638 0.517
O5 O 0.815 0.274 0.181
F1 F 0.145 0.587 0.258
F2 F 0.158 0.258 0.927
F3 F 0.181 0.943 0.592
F4 F 0.184 0.928 0.120
F5 F 0.211 0.584 0.762
F6 F 0.213 0.264 0.440
F7 F 0.322 0.762 0.440
F8 F 0.335 0.748 0.921
F9 F 0.337 0.426 0.115
F10 F 0.362 0.441 0.595
F11 F 0.378 0.087 0.259
F12 F 0.647 0.511 0.355
F13 F 0.655 0.116 0.026
F14 F 0.675 0.782 0.698
F15 F 0.691 0.769 0.186
F16 F 0.814 0.949 0.865
F17 F 0.863 0.253 0.695
F18 F 0.882 0.010 0.355
F19 F 0.904 0.656 0.030
```

Most intense lines, 2θ = 10–80°, most intense first:
2theta	Rel. int.	index
16.6	100	0 0 3
25.2	78	1 1 2
25.3	78	1 -1 1
38.0	33	1 0 -6
32.7	23	0 2 1
49.1	16	1 1 8
39.7	14	2 1 2
49.0	14	-2 2 1
40.0	14	-2 1 2
34.8	13	1 1 5



Q: What is the formula in the fifth record?
A: TiVO3